1.
Diffraction record for Pr3Zn4. The XRD peak list is computed, not measured: it uses a crystal structure in OQMD, relaxed with GGA-PBE and Cu Kα X-rays.
Peak positions follow from Bragg's law for the DFT cell and can differ from measured ones.

Atomic structure:
```
data_Pr3Zn4
_space_group_name_H-M_alt 'P 63/m'
_space_group_IT_number 176
_space_group_name_Hall '-P 6c'
_cell_length_a 9.1276
_cell_length_b 9.1276
_cell_length_c 4.6455
_cell_angle_alpha 90.00
_cell_angle_beta 90.00
_cell_angle_gamma 120.00
loop_
_atom_site_label
_atom_site_type_symbol
_atom_site_fract_x
_atom_site_fract_y
_atom_site_fract_z
Pr1 Pr 0.0929 0.4364 0.2500
Zn1 Zn 0.0334 0.1937 0.7500
Zn2 Zn 0.3333 0.6667 0.7500
```

Principal peaks in the range 10 to 80 degrees two-theta, in order of falling intensity:
2θ (°), I_rel
35.7, 100.0
29.9, 39.0
27.4, 24.7
38.8, 23.0
49.7, 18.9
68.2, 14.5
53.1, 13.9
67.7, 13.1
65.7, 8.1
78.3, 7.7
29.7, 7.5
50.2, 6.1

***

2.
Diffraction record for PrZn2. The XRD peak list is computed, not measured: it uses a crystal structure in OQMD, relaxed with GGA-PBE and Cu Kα X-rays.
Peak positions follow from Bragg's law for the DFT cell and can differ from measured ones.

Atomic structure:
```
data_PrZn2
_space_group_name_H-M_alt 'I m m a'
_space_group_IT_number 74
_space_group_name_Hall '-I 2b 2'
_cell_length_a 4.6140
_cell_length_b 7.4594
_cell_length_c 7.6327
_cell_angle_alpha 90.00
_cell_angle_beta 90.00
_cell_angle_gamma 90.00
loop_
_atom_site_label
_atom_site_type_symbol
_atom_site_fract_x
_atom_site_fract_y
_atom_site_fract_z
Pr1 Pr 0.0000 0.2500 0.0323
Zn1 Zn 0.0000 0.0503 0.6660
```

Principal peaks in the range 10 to 80 degrees two-theta, in order of falling intensity:
2θ (°), I_rel
33.0, 100.0
40.5, 49.4
33.6, 43.1
39.0, 33.0
52.4, 24.0
32.7, 23.6
22.5, 15.1
38.1, 14.5
64.8, 14.4
66.9, 12.5
55.7, 9.3
65.2, 8.9

***

3.
Diffraction record for Pr3Zn22. The XRD peak list is computed, not measured: it uses a crystal structure in OQMD, relaxed with GGA-PBE and Cu Kα X-rays.
Peak positions follow from Bragg's law for the DFT cell and can differ from measured ones.

Atomic structure:
```
data_Pr3Zn22
_space_group_name_H-M_alt 'I 41/a m d'
_space_group_IT_number 141
_cell_length_a 8.8766
_cell_length_b 8.8766
_cell_length_c 21.2190
_cell_angle_alpha 90.00
_cell_angle_beta 90.00
_cell_angle_gamma 90.00
loop_
_space_group_symop_operation_xyz
'x,y,z'
'-x,-y,-z'
'-y+1/4,x+3/4,z+1/4'
'y+1/4,-x+3/4,-z+1/4'
'-x+1/2,-y,z+1/2'
'x+1/2,y,-z+1/2'
'y+1/4,-x+1/4,z+3/4'
'-y+1/4,x+1/4,-z+3/4'
'x,-y,-z'
'-x,y,z'
'-y+1/4,-x+1/4,-z+3/4'
'y+1/4,x+1/4,z+3/4'
'-x+1/2,y,-z+1/2'
'x+1/2,-y,z+1/2'
'y+1/4,x+3/4,-z+1/4'
'-y+1/4,-x+3/4,z+1/4'
'x+1/2,y+1/2,z+1/2'
'-x+1/2,-y+1/2,-z+1/2'
'-y+3/4,x+1/4,z+3/4'
'y+3/4,-x+1/4,-z+3/4'
'-x,-y+1/2,z'
'x,y+1/2,-z'
'y+3/4,-x+3/4,z+1/4'
'-y+3/4,x+3/4,-z+1/4'
'x+1/2,-y+1/2,-z+1/2'
'-x+1/2,y+1/2,z+1/2'
'-y+3/4,-x+3/4,-z+1/4'
'y+3/4,x+3/4,z+1/4'
'-x,y+1/2,-z'
'x,-y+1/2,z'
'y+3/4,x+1/4,-z+3/4'
'-y+3/4,-x+1/4,z+3/4'
loop_
_atom_site_label
_atom_site_type_symbol
_atom_site_fract_x
_atom_site_fract_y
_atom_site_fract_z
Pr1 Pr 0.0000 0.2500 0.2539
Pr2 Pr 0.0000 0.2500 0.8750
Zn1 Zn 0.0000 0.0000 0.0000
Zn2 Zn 0.0000 0.0263 0.3766
Zn3 Zn 0.0000 0.0984 0.7367
Zn4 Zn 0.0000 0.1028 0.1168
Zn5 Zn 0.2313 0.0081 0.1890
```

Principal peaks in the range 10 to 80 degrees two-theta, in order of falling intensity:
2θ (°), I_rel
39.6, 100.0
38.7, 96.5
40.7, 68.6
37.0, 33.2
42.4, 31.5
44.7, 24.6
30.8, 22.7
73.3, 22.3
58.0, 20.5
33.8, 16.8
25.7, 15.1
72.7, 14.3

***

Please write out number 3 again, unchanged.
Diffraction record for Pr3Zn22. The XRD peak list is computed, not measured: it uses a crystal structure in OQMD, relaxed with GGA-PBE and Cu Kα X-rays.
Peak positions follow from Bragg's law for the DFT cell and can differ from measured ones.

Atomic structure:
```
data_Pr3Zn22
_space_group_name_H-M_alt 'I 41/a m d'
_space_group_IT_number 141
_cell_length_a 8.8766
_cell_length_b 8.8766
_cell_length_c 21.2190
_cell_angle_alpha 90.00
_cell_angle_beta 90.00
_cell_angle_gamma 90.00
loop_
_space_group_symop_operation_xyz
'x,y,z'
'-x,-y,-z'
'-y+1/4,x+3/4,z+1/4'
'y+1/4,-x+3/4,-z+1/4'
'-x+1/2,-y,z+1/2'
'x+1/2,y,-z+1/2'
'y+1/4,-x+1/4,z+3/4'
'-y+1/4,x+1/4,-z+3/4'
'x,-y,-z'
'-x,y,z'
'-y+1/4,-x+1/4,-z+3/4'
'y+1/4,x+1/4,z+3/4'
'-x+1/2,y,-z+1/2'
'x+1/2,-y,z+1/2'
'y+1/4,x+3/4,-z+1/4'
'-y+1/4,-x+3/4,z+1/4'
'x+1/2,y+1/2,z+1/2'
'-x+1/2,-y+1/2,-z+1/2'
'-y+3/4,x+1/4,z+3/4'
'y+3/4,-x+1/4,-z+3/4'
'-x,-y+1/2,z'
'x,y+1/2,-z'
'y+3/4,-x+3/4,z+1/4'
'-y+3/4,x+3/4,-z+1/4'
'x+1/2,-y+1/2,-z+1/2'
'-x+1/2,y+1/2,z+1/2'
'-y+3/4,-x+3/4,-z+1/4'
'y+3/4,x+3/4,z+1/4'
'-x,y+1/2,-z'
'x,-y+1/2,z'
'y+3/4,x+1/4,-z+3/4'
'-y+3/4,-x+1/4,z+3/4'
loop_
_atom_site_label
_atom_site_type_symbol
_atom_site_fract_x
_atom_site_fract_y
_atom_site_fract_z
Pr1 Pr 0.0000 0.2500 0.2539
Pr2 Pr 0.0000 0.2500 0.8750
Zn1 Zn 0.0000 0.0000 0.0000
Zn2 Zn 0.0000 0.0263 0.3766
Zn3 Zn 0.0000 0.0984 0.7367
Zn4 Zn 0.0000 0.1028 0.1168
Zn5 Zn 0.2313 0.0081 0.1890
```

Principal peaks in the range 10 to 80 degrees two-theta, in order of falling intensity:
2θ (°), I_rel
39.6, 100.0
38.7, 96.5
40.7, 68.6
37.0, 33.2
42.4, 31.5
44.7, 24.6
30.8, 22.7
73.3, 22.3
58.0, 20.5
33.8, 16.8
25.7, 15.1
72.7, 14.3